# LaSm2TmBi4
Theoretical powder diffractogram, CuKα. Input: DFT lattice parameters and positions (GGA-PBE).
Lines closer than 0.1° are merged.

Largest 10 diffraction maxima, sorted by position, 2θ from 10° to 90°:
27.61 deg, d 3.230, rel. 100.0
39.45 deg, d 2.284, rel. 78.4
48.80 deg, d 1.866, rel. 21.6
48.91 deg, d 1.862, rel. 7.0
57.02 deg, d 1.615, rel. 13.5
64.48 deg, d 1.445, rel. 25.1
64.55 deg, d 1.444, rel. 12.3
71.51 deg, d 1.319, rel. 21.0
71.65 deg, d 1.317, rel. 6.7
84.83 deg, d 1.143, rel. 4.6

Atomic structure:
```
data_LaSm2TmBi4
_cell_length_a 7.9008
_cell_length_b 4.5733
_cell_length_c 7.9165
_cell_angle_alpha 90.00
_cell_angle_beta 109.47
_cell_angle_gamma 90.00
_symmetry_space_group_name_H-M 'P 1 2/m 1'
_symmetry_Int_Tables_number 10
_symmetry_space_group_name_Hall '-P 2y'
loop_
_atom_site_label
_atom_site_type_symbol
_atom_site_fract_x
_atom_site_fract_y
_atom_site_fract_z
La1 La 0.0000 0.0000 0.0000
Sm1 Sm 0.0000 0.5000 0.5000
Sm2 Sm 0.5000 0.0000 0.5000
Tm1 Tm 0.5000 0.5000 0.0000
Bi1 Bi 0.2582 0.0000 0.7533
Bi2 Bi 0.2579 0.5000 0.2521
```

# Ba8GeRh2
Theoretical powder diffractogram, CuKα. Input: DFT lattice parameters and positions (GGA-PBE).
Lines closer than 0.1° are merged.

Largest 10 diffraction maxima, sorted by position, 2θ from 10° to 90°:
21.73 deg, d 4.091, rel. 33.1
23.13 deg, d 3.846, rel. 24.5
24.65 deg, d 3.612, rel. 100.0
31.94 deg, d 2.802, rel. 26.9
38.10 deg, d 2.362, rel. 44.6
41.57 deg, d 2.173, rel. 35.5
45.05 deg, d 2.012, rel. 24.7
45.92 deg, d 1.976, rel. 20.0
57.65 deg, d 1.599, rel. 16.8
71.22 deg, d 1.324, rel. 18.0

Atomic structure:
```
data_Ba8GeRh2
_cell_length_a 16.3625
_cell_length_b 9.4469
_cell_length_c 7.6910
_cell_angle_alpha 90.00
_cell_angle_beta 90.05
_cell_angle_gamma 90.00
_symmetry_space_group_name_H-M 'C 1 2/m 1'
_symmetry_Int_Tables_number 12
_symmetry_space_group_name_Hall '-C 2y'
loop_
_atom_site_label
_atom_site_type_symbol
_atom_site_fract_x
_atom_site_fract_y
_atom_site_fract_z
Ba1 Ba 0.0834 0.2492 0.2384
Ba2 Ba 0.1669 0.0000 0.7304
Ba3 Ba 0.1670 0.5000 0.7617
Ge1 Ge 0.0000 0.5000 0.0000
Rh1 Rh 0.1667 0.0000 0.1009
```

# Ac2LaTbSb4
Theoretical powder diffractogram, CuKα. Input: DFT lattice parameters and positions (GGA-PBE).
Lines closer than 0.1° are merged.

Largest 10 diffraction maxima, sorted by position, 2θ from 10° to 90°:
23.38 deg, d 3.805, rel. 8.0
27.06 deg, d 3.296, rel. 100.0
38.64 deg, d 2.330, rel. 77.5
45.65 deg, d 1.987, rel. 4.9
47.80 deg, d 1.903, rel. 28.0
55.79 deg, d 1.648, rel. 13.1
63.08 deg, d 1.474, rel. 36.0
69.92 deg, d 1.345, rel. 26.3
89.12 deg, d 1.099, rel. 12.9
89.20 deg, d 1.098, rel. 4.8

Atomic structure:
```
data_Ac2LaTbSb4
_cell_length_a 8.0673
_cell_length_b 4.6641
_cell_length_c 8.0709
_cell_angle_alpha 90.00
_cell_angle_beta 109.46
_cell_angle_gamma 90.00
_symmetry_space_group_name_H-M 'P 1 2/m 1'
_symmetry_Int_Tables_number 10
_symmetry_space_group_name_Hall '-P 2y'
loop_
_atom_site_label
_atom_site_type_symbol
_atom_site_fract_x
_atom_site_fract_y
_atom_site_fract_z
Ac1 Ac 0.0000 0.0000 0.0000
Ac2 Ac 0.5000 0.5000 0.0000
La1 La 0.0000 0.5000 0.5000
Tb1 Tb 0.5000 0.0000 0.5000
Sb1 Sb 0.2508 0.0000 0.7356
Sb2 Sb 0.2614 0.5000 0.2680
```